# 1
# K2H4PtC6S6N6O2
Theoretical PXRD pattern, Cu Ka. Input: a GGA-PBE-relaxed structure.

```
data_K2H4PtC6S6N6O2
_chemical_formula_sum 'K4 H8 Pt2 C12 S12 N12 O4'
_symmetry_space_group_name_H-M 'P 1 21/c 1'
_symmetry_Int_Tables_number 14
_cell_length_a 11.3614
_cell_length_b 10.8750
_cell_length_c 7.1369
_cell_angle_alpha 90.00
_cell_angle_beta 99.65
_cell_angle_gamma 90.00
loop_
_symmetry_equiv_pos_as_xyz
'x,y,z'
'-x,-y,-z'
'-x,y+1/2,-z+1/2'
'x,-y+1/2,z+1/2'
loop_
_atom_site_label
_atom_site_fract_x
_atom_site_fract_y
_atom_site_fract_z
K1 0.0004 0.1523 0.1090
H1 0.0547 0.5899 0.8824
H2 0.0822 0.0897 0.6846
Pt1 0.5000 0.0000 0.5000
C1 0.2595 0.5910 0.1530
C2 0.2658 0.1782 0.4365
C3 0.2792 0.5604 0.6616
S1 0.3832 0.5195 0.2506
S2 0.3850 0.6437 0.7903
S3 0.3988 0.1843 0.3724
N1 0.1685 0.1799 0.4739
N2 0.1684 0.6408 0.0934
N3 0.2015 0.5072 0.5645
O1 0.0067 0.0843 0.7328
```

Main lines, low angle first (2θ from 10° to 80°):
- 15.00°, rel. 80
- 15.82°, rel. 42
- 15.95°, rel. 100
- 16.30°, rel. 35
- 17.93°, rel. 74
- 18.14°, rel. 53
- 20.26°, rel. 27
- 29.02°, rel. 24
- 31.90°, rel. 38
- 33.12°, rel. 68

---

# 2
# K2NaZn2H5C4O14
Theoretical PXRD pattern, Cu Ka. Input: a GGA-PBE-relaxed structure.

```
data_K2NaZn2H5C4O14
_chemical_formula_sum 'K4 Na2 Zn4 H10 C8 O28'
_symmetry_space_group_name_H-M 'P 1 21/c 1'
_symmetry_Int_Tables_number 14
_cell_length_a 5.1389
_cell_length_b 10.7689
_cell_length_c 11.4218
_cell_angle_alpha 90.00
_cell_angle_beta 113.60
_cell_angle_gamma 90.00
loop_
_symmetry_equiv_pos_as_xyz
'x,y,z'
'-x,-y,-z'
'-x,y+1/2,-z+1/2'
'x,-y+1/2,z+1/2'
loop_
_atom_site_label
_atom_site_fract_x
_atom_site_fract_y
_atom_site_fract_z
K1 0.0362 0.1633 0.0751
Na1 0.0000 0.0000 0.5000
Zn1 0.3283 0.6091 0.7945
H1 0.0524 0.6931 0.1803
H2 0.3804 0.6594 0.2296
H3 0.5000 0.0000 0.0000
C1 0.2860 0.0761 0.8196
C2 0.4227 0.1305 0.4314
O1 0.0583 0.0641 0.8397
O2 0.2057 0.1729 0.4468
O3 0.2419 0.7040 0.2575
O4 0.2821 0.1148 0.7120
O5 0.3326 0.6215 0.9715
O6 0.4036 0.0936 0.3196
O7 0.4681 0.5482 0.5891
```

Main lines, low angle first (2θ from 10° to 80°):
- 18.53°, rel. 100
- 19.16°, rel. 77
- 30.19°, rel. 52
- 30.39°, rel. 69
- 30.53°, rel. 63
- 32.88°, rel. 58
- 33.28°, rel. 57
- 34.40°, rel. 51
- 34.97°, rel. 54
- 44.07°, rel. 35

---

# 3
# Na5LuH4C4O14
Theoretical PXRD pattern, Cu Ka. Input: a GGA-PBE-relaxed structure.

```
data_Na5LuH4C4O14
_chemical_formula_sum 'Na10 Lu2 H8 C8 O28'
_symmetry_space_group_name_H-M 'P -4 21 c'
_symmetry_Int_Tables_number 114
_cell_length_a 7.4524
_cell_length_b 7.4524
_cell_length_c 11.4111
_cell_angle_alpha 90.00
_cell_angle_beta 90.00
_cell_angle_gamma 90.00
loop_
_symmetry_equiv_pos_as_xyz
'x,y,z'
'y,-x,-z'
'-x,-y,z'
'-y,x,-z'
'x+1/2,-y+1/2,-z+1/2'
'y+1/2,x+1/2,z+1/2'
'-x+1/2,y+1/2,-z+1/2'
'-y+1/2,-x+1/2,z+1/2'
loop_
_atom_site_label
_atom_site_fract_x
_atom_site_fract_y
_atom_site_fract_z
Na1 0.0000 0.0000 0.0000
Na2 0.1804 0.3185 0.2908
Lu1 0.0000 0.0000 0.5000
H1 0.0667 0.5825 0.6153
C1 0.1813 0.7108 0.4188
O1 0.0000 0.5000 0.1681
O2 0.0863 0.7770 0.8767
O3 0.0918 0.8218 0.3510
O4 0.1664 0.7426 0.5322
```

Main lines, low angle first (2θ from 10° to 80°):
- 14.19°, rel. 100
- 15.53°, rel. 20
- 16.82°, rel. 33
- 22.97°, rel. 58
- 27.89°, rel. 27
- 28.61°, rel. 20
- 31.08°, rel. 22
- 35.81°, rel. 26
- 41.43°, rel. 28
- 50.22°, rel. 29